[1]
Simulated XRD peak list
Compound: CaAcCuSi
Radiation: Cu Kα (weighted mean of Kα1 and Kα2)
Structure: a PBE-relaxed structure
Neutral-atom scattering factors, no anomalous dispersion.

Principal peaks in the range 5° ≤ 2θ ≤ 70°, sorted by position:
2θ = 11.42°, I 100, hkl 0 0 3
2θ = 24.89°, I 73, hkl 1 0 1
2θ = 25.78°, I 28, hkl 0 1 2
2θ = 29.06°, I 75, hkl 1 0 4
2θ = 31.32°, I 79, hkl 0 1 5
2θ = 36.72°, I 35, hkl 1 0 7
2θ = 39.77°, I 27, hkl 0 1 8
2θ = 43.29°, I 46, hkl 1 1 0
2θ = 44.92°, I 23, hkl 1 1 3
2θ = 65.72°, I 24, hkl 1 1 12

a b c (Å): 4.1797 4.1797 23.2521
angles (deg): 90.00 90.00 120.00
Space group R3m (No. 160, hexagonal axes)
Asymmetric unit:
Ca: 0.0000 0.0000 0.0000 [3 per cell]
Ac: 0.0000 0.0000 0.1740 [3 per cell]
Cu: 0.0000 0.0000 0.4145 [3 per cell]
Si: 0.0000 0.0000 0.7512 [3 per cell]


[2]
Simulated XRD peak list
Compound: HfH2Se
Radiation: Cu Kα (weighted mean of Kα1 and Kα2)
Structure: a PBE-relaxed structure
Neutral-atom scattering factors, no anomalous dispersion.

Principal peaks in the range 5° ≤ 2θ ≤ 70°, sorted by position:
2θ = 18.64°, I 32, hkl 0 2 0
2θ = 23.66°, I 55, hkl 0 2 1
2θ = 27.65°, I 32, hkl 1 1 0
2θ = 29.13°, I 38, hkl 0 0 2
2θ = 31.33°, I 67, hkl 1 1 1
2θ = 34.81°, I 18, hkl 0 2 2
2θ = 40.62°, I 100, hkl 0 4 1
2θ = 41.47°, I 82, hkl 1 3 1
2θ = 48.46°, I 34, hkl 0 2 3
2θ = 67.67°, I 19, hkl 1 1 4

a b c (Å): 3.4290 9.5230 6.1311
angles (deg): 90.00 90.00 90.00
Space group Cmc2_1 (No. 36)
Asymmetric unit:
Hf: 0.0000 0.0755 0.0000 [4 per cell]
H: 0.0000 0.0842 0.3098 [4 per cell]
H: 0.0000 0.3559 0.6099 [4 per cell]
Se: 0.0000 0.3639 0.1459 [4 per cell]